Structure and calculated powder X-ray diffraction pattern of Sm3PuO8 (DFT lattice parameters and positions (GGA-PBE); Cu Kα).

Principal peaks in the range 2θ from 15° to 90°, in order of rising 2θ:
d 5.281, 16.79 deg, I 1000
d 4.194, 21.18 deg, I 696
d 3.096, 28.84 deg, I 177
d 2.909, 30.74 deg, I 414
d 2.889, 30.95 deg, I 413
d 2.825, 31.68 deg, I 186
d 2.702, 33.16 deg, I 306
d 2.641, 33.95 deg, I 332
d 2.276, 39.60 deg, I 425
d 1.741, 52.58 deg, I 322

Crystal structure
Lattice parameters (Å, degrees): 6.053 10.807 6.903 90.00 90.00 90.00
Space group C222 (No. 21)
Unique sites:
Sm 0.000 0.000 0.000 (multiplicity 2)
Sm 0.250 0.250 0.768 (multiplicity 4)
Pu 0.000 0.000 0.500 (multiplicity 2)
O 0.000 0.183 0.500 (multiplicity 4)
O 0.000 0.211 0.000 (multiplicity 4)
O 0.221 0.027 0.722 (multiplicity 8)



Structure and calculated powder X-ray diffraction pattern of SmPuTeO2 (DFT lattice parameters and positions (GGA-PBE); Cu Kα).

Principal peaks in the range 2θ from 15° to 90°, in order of rising 2θ:
d 3.808, 23.36 deg, I 89
d 2.914, 30.69 deg, I 1000
d 2.820, 31.73 deg, I 407
d 2.133, 42.37 deg, I 86
d 1.994, 45.48 deg, I 197
d 1.701, 53.89 deg, I 218
d 1.646, 55.87 deg, I 375
d 1.457, 63.90 deg, I 105
d 1.269, 74.80 deg, I 80
d 1.112, 87.78 deg, I 91

Crystal structure
Lattice parameters (Å, degrees): 3.988 3.988 12.799 90.00 90.00 90.00
Space group I4mm (No. 107)
Unique sites:
Sm 0.000 0.000 0.000 (multiplicity 2)
Pu 0.000 0.000 0.316 (multiplicity 2)
Te 0.000 0.000 0.661 (multiplicity 2)
O 0.000 0.500 0.409 (multiplicity 4)



Structure and calculated powder X-ray diffraction pattern of SmPuTe2O (DFT lattice parameters and positions (GGA-PBE); Cu Kα).

Principal peaks in the range 2θ from 15° to 90°, in order of rising 2θ:
d 3.981, 22.33 deg, I 168
d 3.286, 27.13 deg, I 580
d 2.959, 30.20 deg, I 1000
d 2.884, 31.00 deg, I 204
d 2.534, 35.42 deg, I 809
d 2.375, 37.88 deg, I 223
d 2.092, 43.24 deg, I 420
d 1.765, 51.80 deg, I 201
d 1.614, 57.08 deg, I 415
d 1.323, 71.26 deg, I 176

Crystal structure
Lattice parameters (Å, degrees): 4.185 4.185 15.924 90.00 90.00 90.00
Space group P4/nmm (No. 129, origin choice 2)
Unique sites:
Sm 0.250 0.250 0.136 (multiplicity 2)
Pu 0.250 0.250 0.567 (multiplicity 2)
Te 0.250 0.250 0.323 (multiplicity 2)
Te 0.250 0.250 0.917 (multiplicity 2)
O 0.250 0.750 0.500 (multiplicity 2)



Structure and calculated powder X-ray diffraction pattern of Pu2SnO11 (DFT lattice parameters and positions (GGA-PBE); Cu Kα).

Principal peaks in the range 2θ from 15° to 90°, in order of rising 2θ:
d 5.058, 17.53 deg, I 404
d 5.008, 17.71 deg, I 397
d 4.016, 22.13 deg, I 985
d 3.756, 23.69 deg, I 1000
d 3.226, 27.65 deg, I 321
d 2.946, 30.34 deg, I 152
d 2.753, 32.53 deg, I 288
d 2.737, 32.72 deg, I 275
d 2.505, 35.84 deg, I 190
d 1.950, 46.58 deg, I 199

Crystal structure
Lattice parameters (Å, degrees): 7.927 7.945 9.275 107.32 106.39 108.80
Space group P1 (No. 1)
Unique sites:
Pu 0.000 0.000 0.000 (multiplicity 1)
Pu 0.194 0.696 0.506 (multiplicity 1)
Pu 0.438 0.441 0.003 (multiplicity 1)
Pu 0.752 0.253 0.497 (multiplicity 1)
Sn 0.234 0.214 0.501 (multiplicity 1)
Sn 0.481 0.960 0.001 (multiplicity 1)
O 0.081 0.106 0.233 (multiplicity 1)
O 0.106 0.581 0.284 (multiplicity 1)
O 0.167 0.260 0.990 (multiplicity 1)
O 0.177 0.939 0.490 (multiplicity 1)
O 0.230 0.942 0.033 (multiplicity 1)
O 0.281 0.492 0.524 (multiplicity 1)
O 0.305 0.827 0.740 (multiplicity 1)
O 0.364 0.343 0.771 (multiplicity 1)
O 0.429 0.693 0.008 (multiplicity 1)
O 0.493 0.255 0.481 (multiplicity 1)
O 0.518 0.228 0.001 (multiplicity 1)
O 0.529 0.544 0.226 (multiplicity 1)
O 0.559 0.877 0.577 (multiplicity 1)
O 0.595 0.900 0.460 (multiplicity 1)
O 0.646 0.117 0.264 (multiplicity 1)
O 0.734 0.992 0.969 (multiplicity 1)
O 0.800 0.636 0.087 (multiplicity 1)
O 0.841 0.653 0.969 (multiplicity 1)
O 0.843 0.362 0.720 (multiplicity 1)
O 0.912 0.878 0.778 (multiplicity 1)
O 0.924 0.516 0.495 (multiplicity 1)
O 0.972 0.183 0.512 (multiplicity 1)



Structure and calculated powder X-ray diffraction pattern of Pu2SnO (DFT lattice parameters and positions (GGA-PBE); Cu Kα).

Principal peaks in the range 2θ from 15° to 90°, in order of rising 2θ:
d 3.666, 24.28 deg, I 129
d 2.859, 31.28 deg, I 1000
d 2.782, 32.17 deg, I 236
d 2.631, 34.08 deg, I 200
d 1.912, 47.56 deg, I 181
d 1.703, 53.84 deg, I 96
d 1.666, 55.11 deg, I 89
d 1.621, 56.80 deg, I 193
d 1.559, 59.26 deg, I 166
d 1.430, 65.27 deg, I 98

Crystal structure
Lattice parameters (Å, degrees): 5.262 12.920 5.565 90.00 90.00 90.00
Space group Cccm (No. 66)
Unique sites:
Pu 0.240 0.099 0.000 (multiplicity 8)
Sn 0.250 0.250 0.500 (multiplicity 4)
O 0.000 0.000 0.250 (multiplicity 4)



Structure and calculated powder X-ray diffraction pattern of TbPuSnO6 (DFT lattice parameters and positions (GGA-PBE); Cu Kα).

Principal peaks in the range 2θ from 15° to 90°, in order of rising 2θ:
d 4.923, 18.02 deg, I 153
d 4.304, 20.64 deg, I 136
d 3.431, 25.97 deg, I 1000
d 2.763, 32.40 deg, I 539
d 2.409, 37.32 deg, I 153
d 2.152, 41.98 deg, I 280
d 1.838, 49.60 deg, I 482
d 1.698, 54.01 deg, I 273
d 1.595, 57.80 deg, I 174
d 1.205, 79.57 deg, I 121

Crystal structure
Lattice parameters (Å, degrees): 5.5258 5.5258 9.8461 90.00 90.00 120.00
Space group P-31c (No. 163)
Unique sites:
Tb 0.0000 0.0000 0.0000 (multiplicity 2)
Pu 0.3333 0.6667 0.2500 (multiplicity 2)
Sn 0.3333 0.6667 0.7500 (multiplicity 2)
O 0.0063 0.3500 0.6351 (multiplicity 12)